Entry 1:
The following is a computed powder diffractogram of Li3H2N2. It was derived from a DFT-relaxed cell (GGA-PBE, Alexandria), using Cu Kα.

Cell and atoms:
abc: 6.0242 6.0242 6.0242
angles: 131.16 72.29 130.24
Element x y z (fractional)
Li1 0.0052 0.7500 0.2552
Li2 0.2500 0.2500 0.0000
Li3 0.4948 0.7500 0.7448
Li4 0.5052 0.2500 0.2552
Li5 0.7500 0.7500 0.0000
Li6 0.9948 0.2500 0.7448
H1 0.0531 0.6478 0.7009
H2 0.4469 0.1478 0.5947
H3 0.5531 0.8522 0.4053
H4 0.9469 0.3522 0.2991
N1 0.1355 0.7798 0.9153
N2 0.3645 0.2798 0.6443
N3 0.6355 0.7202 0.3557
N4 0.8645 0.2202 0.0847

Most intense lines, 10° ≤ 2θ ≤ 90°, in order of rising 2θ:
d [Å], Position (°2θ), intensity
4.434, 20.0, 8.0
2.869, 31.2, 100.0
1.776, 51.4, 19.7
1.755, 52.1, 18.5
1.740, 52.6, 16.8
1.520, 61.0, 7.4

Entry 2:
The following is a computed powder diffractogram of In2Bi3Se7I. It was derived from a DFT-relaxed cell (GGA-PBE, Alexandria), using Cu Kα.

Cell and atoms:
abc: 27.5514 4.1832 13.9945
angles: 90.00 90.00 90.00
Element x y z (fractional)
In1 0.0365 0.2500 0.0777
In2 0.0526 0.7500 0.5274
In3 0.4474 0.2500 0.0274
In4 0.4635 0.7500 0.5777
In5 0.5365 0.2500 0.4223
In6 0.5526 0.7500 0.9726
In7 0.9474 0.2500 0.4726
In8 0.9635 0.7500 0.9223
Bi1 0.1599 0.7500 0.1840
Bi2 0.1886 0.2500 0.9143
Bi3 0.1906 0.2500 0.5420
Bi4 0.3094 0.7500 0.0420
Bi5 0.3114 0.7500 0.4143
Bi6 0.3401 0.2500 0.6840
Bi7 0.6599 0.7500 0.3160
Bi8 0.6886 0.2500 0.5857
Bi9 0.6906 0.2500 0.9580
Bi10 0.8094 0.7500 0.4580
Bi11 0.8114 0.7500 0.0857
Bi12 0.8401 0.2500 0.8160
Se1 0.0154 0.2500 0.6179
Se2 0.0233 0.2500 0.8883
Se3 0.0927 0.2500 0.2316
Se4 0.1234 0.7500 0.0042
Se5 0.1363 0.7500 0.4424
Se6 0.2326 0.2500 0.0951
Se7 0.2397 0.2500 0.3684
Se8 0.2603 0.7500 0.8684
Se9 0.2674 0.7500 0.5951
Se10 0.3637 0.2500 0.9424
Se11 0.3766 0.2500 0.5042
Se12 0.4073 0.7500 0.7316
Se13 0.4767 0.7500 0.3883
Se14 0.4846 0.7500 0.1179
Se15 0.5154 0.2500 0.8821
Se16 0.5233 0.2500 0.6117
Se17 0.5927 0.2500 0.2684
Se18 0.6234 0.7500 0.4958
Se19 0.6363 0.7500 0.0576
Se20 0.7326 0.2500 0.4049
Se21 0.7397 0.2500 0.1316
Se22 0.7603 0.7500 0.6316
Se23 0.7674 0.7500 0.9049
Se24 0.8637 0.2500 0.5576
Se25 0.8766 0.2500 0.9958
Se26 0.9073 0.7500 0.7684
Se27 0.9767 0.7500 0.1117
Se28 0.9846 0.7500 0.3821
I1 0.1399 0.7500 0.7271
I2 0.3601 0.2500 0.2271
I3 0.6399 0.7500 0.7729
I4 0.8601 0.2500 0.2729

Most intense lines, 10° ≤ 2θ ≤ 90°, in order of rising 2θ:
d [Å], Position (°2θ), intensity
4.594, 19.3, 49.2
3.184, 28.0, 83.5
3.117, 28.6, 55.9
3.092, 28.9, 100.0
3.020, 29.6, 59.3
2.092, 43.3, 55.8

Entry 3:
The following is a computed powder diffractogram of La6P2AuI3. It was derived from a DFT-relaxed cell (GGA-PBE, Alexandria), using Cu Kα.

Cell and atoms:
abc: 7.5490 7.5490 8.1092
angles: 98.88 98.88 119.85
Element x y z (fractional)
La1 0.0852 0.4322 0.7949
La2 0.2207 0.2207 0.2031
La3 0.4322 0.0852 0.7949
La4 0.5678 0.9148 0.2051
La5 0.7793 0.7793 0.7969
La6 0.9148 0.5678 0.2051
P1 0.1668 0.8332 0.0000
P2 0.8332 0.1668 0.0000
Au1 0.5000 0.5000 0.0000
I1 0.0000 0.0000 0.5000
I2 0.3360 0.6640 0.5000
I3 0.6640 0.3360 0.5000

Most intense lines, 10° ≤ 2θ ≤ 90°, in order of rising 2θ:
d [Å], Position (°2θ), intensity
3.163, 28.2, 100.0
2.301, 39.1, 10.6
2.294, 39.3, 21.2
2.183, 41.4, 25.8
2.178, 41.5, 13.1
1.793, 50.9, 12.9

Entry 4:
The following is a computed powder diffractogram of LaPuSb2. It was derived from a DFT-relaxed cell (GGA-PBE, Alexandria), using Cu Kα.

Cell and atoms:
abc: 7.8183 7.8183 7.8183
angles: 33.71 33.71 33.71
Element x y z (fractional)
La1 0.0000 0.0000 0.0000
Pu1 0.5000 0.5000 0.5000
Sb1 0.2454 0.2454 0.2454
Sb2 0.7546 0.7546 0.7546

Most intense lines, 10° ≤ 2θ ≤ 90°, in order of rising 2θ:
d [Å], Position (°2θ), intensity
3.201, 27.9, 100.0
2.267, 39.8, 39.1
2.259, 39.9, 37.9
1.850, 49.3, 21.1
1.433, 65.1, 18.3
1.308, 72.2, 20.0

Entry 5:
The following is a computed powder diffractogram of BaMg2Os2O7. It was derived from a DFT-relaxed cell (GGA-PBE, Alexandria), using Cu Kα.

Cell and atoms:
abc: 9.1750 9.1750 9.1750
angles: 154.56 154.56 36.28
Element x y z (fractional)
Ba1 0.0000 0.0000 0.0000
Mg1 0.2500 0.7500 0.5000
Mg2 0.7500 0.2500 0.5000
Os1 0.3839 0.3839 0.0000
Os2 0.6161 0.6161 0.0000
O1 0.1233 0.6233 0.5000
O2 0.2651 0.2651 0.0000
O3 0.3767 0.8767 0.5000
O4 0.5000 0.5000 0.0000
O5 0.6233 0.1233 0.5000
O6 0.7349 0.7349 0.0000
O7 0.8767 0.3767 0.5000

Most intense lines, 10° ≤ 2θ ≤ 90°, in order of rising 2θ:
d [Å], Position (°2θ), intensity
3.936, 22.6, 36.7
3.317, 26.9, 100.0
2.857, 31.3, 55.4
2.640, 34.0, 85.7
2.020, 44.9, 48.0
1.604, 57.4, 39.6

Entry 6:
The following is a computed powder diffractogram of Tm3NpS4. It was derived from a DFT-relaxed cell (GGA-PBE, Alexandria), using Cu Kα.

Cell and atoms:
abc: 12.7301 12.7301 12.7301
angles: 17.47 17.47 17.47
Element x y z (fractional)
Tm1 0.0000 0.0000 0.0000
Tm2 0.2492 0.2492 0.2492
Tm3 0.7508 0.7508 0.7508
Np1 0.5000 0.5000 0.5000
S1 0.1240 0.1240 0.1240
S2 0.3747 0.3747 0.3747
S3 0.6253 0.6253 0.6253
S4 0.8760 0.8760 0.8760

Most intense lines, 10° ≤ 2θ ≤ 90°, in order of rising 2θ:
d [Å], Position (°2θ), intensity
3.154, 28.3, 69.4
3.133, 28.5, 22.7
2.727, 32.8, 100.0
1.933, 47.0, 36.5
1.923, 47.3, 35.9
1.645, 55.9, 22.5